For Pr2Nd4Er7, a PBE-relaxed structure gives the theoretical powder XRD pattern in this record (Cu Kα (λ = 1.5418 Å)).
Kinematic intensities with the Lorentz-polarization factor, no thermal factor.

Structural model:
```
data_Pr2Nd4Er7
_chemical_formula_sum 'Pr2 Nd4 Er7'
_cell_length_a 6.6174
_cell_length_b 8.5668
_cell_length_c 8.6306
_cell_angle_alpha 69.21
_cell_angle_beta 78.50
_cell_angle_gamma 77.20
_space_group_name_H-M_alt 'P -1'
_space_group_IT_number 2
loop_
_space_group_symop_operation_xyz
'x,y,z'
'-x,-y,-z'
loop_
_atom_site_label
_atom_site_type_symbol
_atom_site_fract_x
_atom_site_fract_y
_atom_site_fract_z
Pr1 Pr 0.2442 0.0528 0.4768
Nd1 Nd 0.0660 0.6886 0.8468
Nd2 Nd 0.4202 0.3037 0.6786
Er1 Er 0.0000 0.5000 0.5000
Er2 Er 0.0703 0.8732 0.1909
Er3 Er 0.3594 0.4723 0.1869
Er4 Er 0.4723 0.8784 0.8974
```

Top 12 peaks for 10° ≤ 2θ ≤ 80°, in order of falling intensity:
hkl 1 -2 1, 32.63 deg, I 100; hkl 1 3 1, 32.11 deg, I 82; hkl 2 1 2, 31.24 deg, I 81; hkl 0 2 3, 33.87 deg, I 51; hkl 1 1 -2, 31.93 deg, I 43; hkl 2 1 -1, 33.17 deg, I 30; hkl 0 1 -2, 28.10 deg, I 27; hkl 0 0 3, 33.62 deg, I 26; hkl 0 2 2, 26.05 deg, I 22; hkl 3 -1 0, 45.85 deg, I 18; hkl 2 0 0, 27.89 deg, I 17; hkl 3 4 3, 55.81 deg, I 14

=====

For Pr3Nd5Er3, a PBE-relaxed structure gives the theoretical powder XRD pattern in this record (Cu Kα (λ = 1.5418 Å)).
Kinematic intensities with the Lorentz-polarization factor, no thermal factor.

Structural model:
```
data_Pr3Nd5Er3
_chemical_formula_sum 'Pr3 Nd5 Er3'
_cell_length_a 11.4360
_cell_length_b 11.4360
_cell_length_c 3.4725
_cell_angle_alpha 90.00
_cell_angle_beta 90.00
_cell_angle_gamma 120.00
_space_group_name_H-M_alt 'P -6 2 m'
_space_group_IT_number 189
_space_group_name_Hall 'P -6 -2'
loop_
_atom_site_label
_atom_site_type_symbol
_atom_site_fract_x
_atom_site_fract_y
_atom_site_fract_z
Pr1 Pr 0.0000 0.4024 0.0000
Nd1 Nd 0.0000 0.6639 0.5000
Nd2 Nd 0.3333 0.6667 0.5000
Er1 Er 0.0000 0.1583 0.5000
```

Top 12 peaks for 10° ≤ 2θ ≤ 80°, in order of falling intensity:
hkl 3 1 0, 32.60 deg, I 100; hkl 1 1 1, 30.11 deg, I 87; hkl 2 2 1, 40.89 deg, I 85; hkl 3 0 0, 27.01 deg, I 80; hkl 2 1 1, 35.25 deg, I 73; hkl 3 2 1, 47.84 deg, I 45; hkl 6 0 1, 62.28 deg, I 43; hkl 2 1 0, 23.77 deg, I 38; hkl 2 2 0, 31.29 deg, I 38; hkl 0 0 1, 25.65 deg, I 31; hkl 3 1 2, 63.37 deg, I 30; hkl 6 0 0, 55.68 deg, I 21

=====

For PrNd3Er6, a PBE-relaxed structure gives the theoretical powder XRD pattern in this record (Cu Kα (λ = 1.5418 Å)).
Kinematic intensities with the Lorentz-polarization factor, no thermal factor.

Structural model:
```
data_PrNd3Er6
_chemical_formula_sum 'Pr4 Nd12 Er24'
_cell_length_a 13.5470
_cell_length_b 14.3804
_cell_length_c 6.8935
_cell_angle_alpha 90.00
_cell_angle_beta 90.00
_cell_angle_gamma 90.00
_space_group_name_H-M_alt 'C m c 21'
_space_group_IT_number 36
loop_
_space_group_symop_operation_xyz
'x,y,z'
'-x,-y,z+1/2'
'-x,y,z'
'x,-y,z+1/2'
'x+1/2,y+1/2,z'
'-x+1/2,-y+1/2,z+1/2'
'-x+1/2,y+1/2,z'
'x+1/2,-y+1/2,z+1/2'
loop_
_atom_site_label
_atom_site_type_symbol
_atom_site_fract_x
_atom_site_fract_y
_atom_site_fract_z
Pr1 Pr 0.0000 0.1916 0.0000
Nd1 Nd 0.0000 0.3988 0.8144
Nd2 Nd 0.2067 0.0368 0.5347
Er1 Er 0.0000 0.0104 0.2734
Er2 Er 0.0000 0.2121 0.5085
Er3 Er 0.1158 0.3959 0.3225
Er4 Er 0.2362 0.2888 0.7104
```

Top 12 peaks for 10° ≤ 2θ ≤ 80°, in order of falling intensity:
hkl 2 2 2, 31.67 deg, I 100; hkl 1 5 0, 31.81 deg, I 43; hkl 4 2 1, 31.97 deg, I 41; hkl 2 4 1, 31.01 deg, I 29; hkl 4 0 0, 26.32 deg, I 27; hkl 1 3 2, 32.68 deg, I 24; hkl 3 3 1, 30.12 deg, I 24; hkl 0 4 2, 36.14 deg, I 23; hkl 2 0 2, 29.09 deg, I 21; hkl 4 4 0, 36.45 deg, I 20; hkl 5 1 0, 33.66 deg, I 20; hkl 3 3 2, 37.82 deg, I 19

=====

For Pr2Nd7Er4, a PBE-relaxed structure gives the theoretical powder XRD pattern in this record (Cu Kα (λ = 1.5418 Å)).
Kinematic intensities with the Lorentz-polarization factor, no thermal factor.

Structural model:
```
data_Pr2Nd7Er4
_chemical_formula_sum 'Pr2 Nd7 Er4'
_cell_length_a 6.2358
_cell_length_b 6.2358
_cell_length_c 13.2351
_cell_angle_alpha 90.00
_cell_angle_beta 90.00
_cell_angle_gamma 120.00
_space_group_name_H-M_alt 'P -3 1 m'
_space_group_IT_number 162
_space_group_name_Hall '-P 3 2'
loop_
_atom_site_label
_atom_site_type_symbol
_atom_site_fract_x
_atom_site_fract_y
_atom_site_fract_z
Pr1 Pr 0.3333 0.6667 0.0000
Nd1 Nd 0.0000 0.0000 0.0000
Nd2 Nd 0.0000 0.3716 0.2267
Er1 Er 0.0000 0.0000 0.3932
Er2 Er 0.3333 0.6667 0.5000
```

Top 12 peaks for 10° ≤ 2θ ≤ 80°, in order of falling intensity:
hkl 2 -1 2, 31.72 deg, I 100; hkl 3 0 0, 50.71 deg, I 38; hkl 1 1 1, 29.43 deg, I 35; hkl 1 1 3, 35.25 deg, I 24; hkl 0 0 4, 26.95 deg, I 19; hkl 1 1 0, 28.63 deg, I 16; hkl 2 -1 10, 78.52 deg, I 15; hkl 1 0 3, 26.08 deg, I 11; hkl 2 2 2, 61.07 deg, I 11; hkl 3 0 4, 58.36 deg, I 11; hkl 2 -1 5, 44.93 deg, I 9; hkl 1 1 7, 56.97 deg, I 9

=====

For Pr7NdEr12, a PBE-relaxed structure gives the theoretical powder XRD pattern in this record (Cu Kα (λ = 1.5418 Å)).
Kinematic intensities with the Lorentz-polarization factor, no thermal factor.

Structural model:
```
data_Pr7NdEr12
_chemical_formula_sum 'Pr21 Nd3 Er36'
_cell_length_a 12.0117
_cell_length_b 12.0117
_cell_length_c 16.2636
_cell_angle_alpha 90.00
_cell_angle_beta 90.00
_cell_angle_gamma 120.00
_space_group_name_H-M_alt 'R -3'
_space_group_IT_number 148
_space_group_name_Hall '-R 3'
loop_
_atom_site_label
_atom_site_type_symbol
_atom_site_fract_x
_atom_site_fract_y
_atom_site_fract_z
Pr1 Pr 0.0000 0.0000 0.0000
Pr2 Pr 0.0522 0.8648 0.2894
Nd1 Nd 0.0000 0.0000 0.5000
Er1 Er 0.0209 0.5750 0.2209
Er2 Er 0.0508 0.4638 0.5833
```

Top 12 peaks for 10° ≤ 2θ ≤ 80°, in order of falling intensity:
hkl 1 3 1, 31.49 deg, I 100; hkl 4 -1 2, 32.94 deg, I 49; hkl 2 1 4, 31.66 deg, I 47; hkl 0 3 3, 30.61 deg, I 35; hkl 5 2 0, 55.15 deg, I 25; hkl 0 1 5, 28.76 deg, I 25; hkl 2 0 5, 32.47 deg, I 22; hkl 1 1 6, 36.35 deg, I 17; hkl 4 -1 5, 41.85 deg, I 14; hkl 0 2 4, 27.85 deg, I 13; hkl 2 0 11, 65.70 deg, I 13; hkl 1 4 6, 52.59 deg, I 12

=====

For Pr3Nd3Er2, a PBE-relaxed structure gives the theoretical powder XRD pattern in this record (Cu Kα (λ = 1.5418 Å)).
Kinematic intensities with the Lorentz-polarization factor, no thermal factor.

Structural model:
```
data_Pr3Nd3Er2
_chemical_formula_sum 'Pr6 Nd6 Er4'
_cell_length_a 5.1773
_cell_length_b 5.1777
_cell_length_c 20.5076
_cell_angle_alpha 90.00
_cell_angle_beta 90.00
_cell_angle_gamma 90.00
_space_group_name_H-M_alt 'I m m m'
_space_group_IT_number 71
_space_group_name_Hall '-I 2 2'
loop_
_atom_site_label
_atom_site_type_symbol
_atom_site_fract_x
_atom_site_fract_y
_atom_site_fract_z
Pr1 Pr 0.0000 0.0000 0.0000
Pr2 Pr 0.0000 0.5000 0.3720
Nd1 Nd 0.0000 0.0000 0.5000
Nd2 Nd 0.0000 0.5000 0.1280
Er1 Er 0.0000 0.0000 0.2499
```

Top 11 peaks for 10° ≤ 2θ ≤ 80°, in order of falling intensity:
hkl 1 1 4, 29.99 deg, I 100; hkl 2 0 0, 34.65 deg, I 34; hkl 3 1 4, 59.25 deg, I 29; hkl 2 0 8, 50.08 deg, I 24; hkl 0 0 8, 35.00 deg, I 16; hkl 1 1 12, 59.71 deg, I 14; hkl 2 2 8, 62.33 deg, I 12; hkl 2 2 0, 49.81 deg, I 12; hkl 4 0 0, 73.11 deg, I 4; hkl 0 0 16, 73.95 deg, I 2; hkl 1 1 6, 35.95 deg, I 1